Diffraction record for NaDyCuSe2. The powder XRD pattern is computed, not measured: it uses a crystal structure in Alexandria, relaxed with GGA-PBE and copper Kα.

Crystal structure
```
NaDyCuSe2
1.0
7.1074 0.0000 0.0000
0.0000 4.5606 0.0000
-1.2706 0.0000 7.8003
Na Dy Cu Se
2 2 2 4
Direct
0.0000 0.1531 0.2500
0.0000 0.8469 0.7500
0.5000 0.4922 0.7500
0.5000 0.5078 0.2500
0.5000 0.0000 0.0000
0.5000 0.0000 0.5000
0.2342 0.3165 0.9649
0.2342 0.6835 0.4649
0.7658 0.3165 0.5351
0.7658 0.6835 0.0351
```

Peak list (8 most intense, 5° ≤ 2θ ≤ 70°, by angle)
- 12.62°, I 100
- 19.46°, I 21
- 26.85°, I 28
- 31.29°, I 33
- 31.44°, I 24
- 34.25°, I 40
- 37.25°, I 32
- 47.56°, I 22

=====

Diffraction record for Ho6Cu5Ag. The powder XRD pattern is computed, not measured: it uses a crystal structure in Alexandria, relaxed with GGA-PBE and copper Kα.

Crystal structure
```
Ho6Cu5Ag
1.0
2.4719 -7.4135 0.0000
2.4719 7.4135 0.0000
0.0000 0.0000 6.9160
Ho Cu Ag
6 5 1
Direct
0.0000 0.0000 0.2430
0.0000 0.0000 0.7570
0.3302 0.6698 0.2469
0.3302 0.6698 0.7531
0.6698 0.3302 0.2469
0.6698 0.3302 0.7531
0.1649 0.8351 0.0000
0.1652 0.8348 0.5000
0.5000 0.5000 0.0000
0.8351 0.1649 0.0000
0.8348 0.1652 0.5000
0.5000 0.5000 0.5000
```

Peak list (8 most intense, 5° ≤ 2θ ≤ 70°, by angle)
- 25.48°, I 16
- 25.76°, I 8
- 36.35°, I 51
- 36.55°, I 100
- 52.35°, I 18
- 52.96°, I 8
- 65.54°, I 35
- 65.93°, I 17

=====

Diffraction record for NbAgRh. The powder XRD pattern is computed, not measured: it uses a crystal structure in Alexandria, relaxed with GGA-PBE and copper Kα.

Crystal structure
```
NbAgRh
1.0
0.0000 3.6708 5.4304
2.7062 0.0000 5.4304
2.7062 3.6708 0.0000
Nb Ag Rh
2 2 2
Direct
0.2500 0.2500 0.2500
0.7500 0.7500 0.7500
0.1749 0.8251 0.1749
0.8251 0.1749 0.8251
0.3775 0.3775 0.6225
0.6225 0.6225 0.3775
```

Peak list (8 most intense, 5° ≤ 2θ ≤ 70°, by angle)
- 32.15°, I 43
- 33.10°, I 10
- 37.12°, I 43
- 41.35°, I 100
- 41.45°, I 13
- 44.83°, I 28
- 46.73°, I 17
- 64.77°, I 12

=====

Diffraction record for NaBe2Ag2F7. The powder XRD pattern is computed, not measured: it uses a crystal structure in Alexandria, relaxed with GGA-PBE and copper Kα.

Crystal structure
```
NaBe2Ag2F7
1.0
2.5781 1.4885 6.9969
-2.5781 1.4885 6.9969
0.0000 -2.9770 6.9969
Na Be Ag F
1 2 2 7
Direct
0.0000 0.0000 0.0000
0.4230 0.4230 0.4230
0.5770 0.5770 0.5770
0.1876 0.1876 0.1876
0.8124 0.8124 0.8124
0.1247 0.3873 0.7083
0.2917 0.6127 0.8753
0.3873 0.7083 0.1247
0.5000 0.5000 0.5000
0.6127 0.8753 0.2917
0.7083 0.1247 0.3873
0.8753 0.2917 0.6127
```

Peak list (8 most intense, 5° ≤ 2θ ≤ 70°, by angle)
- 12.65°, I 100
- 21.63°, I 23
- 29.20°, I 73
- 34.80°, I 48
- 37.17°, I 61
- 39.85°, I 21
- 43.61°, I 53
- 62.39°, I 17

=====

Diffraction record for CeMg2. The powder XRD pattern is computed, not measured: it uses a crystal structure in Alexandria, relaxed with GGA-PBE and copper Kα.

Crystal structure
```
CeMg2
1.0
0.0000 4.2974 4.2974
4.2974 0.0000 4.2974
4.2974 4.2974 0.0000
Ce Mg
2 4
Direct
0.1250 0.1250 0.1250
0.8750 0.8750 0.8750
0.0000 0.5000 0.5000
0.5000 0.0000 0.5000
0.5000 0.5000 0.0000
0.5000 0.5000 0.5000
```

Peak list (8 most intense, 5° ≤ 2θ ≤ 70°, by angle)
- 17.88°, I 57
- 29.39°, I 97
- 34.61°, I 100
- 46.03°, I 15
- 52.13°, I 39
- 55.56°, I 34
- 60.98°, I 22
- 69.12°, I 17

=====

Diffraction record for YVSb3. The powder XRD pattern is computed, not measured: it uses a crystal structure in Alexandria, relaxed with GGA-PBE and copper Kα.

Crystal structure
```
YVSb3
1.0
12.7965 0.0000 0.0000
0.0000 6.3176 0.0000
0.0000 0.0000 5.9523
Y V Sb
4 4 12
Direct
0.1884 0.0029 0.2500
0.1884 0.4971 0.7500
0.8116 0.5029 0.2500
0.8116 0.9971 0.7500
0.4001 0.7500 0.0000
0.4001 0.7500 0.5000
0.5999 0.2500 0.0000
0.5999 0.2500 0.5000
0.0016 0.7500 0.0000
0.0016 0.7500 0.5000
0.2741 0.0065 0.7500
0.2741 0.4935 0.2500
0.4338 0.1043 0.2500
0.4338 0.3957 0.7500
0.5662 0.6043 0.2500
0.5662 0.8957 0.7500
0.7259 0.5065 0.7500
0.7259 0.9935 0.2500
0.9984 0.2500 0.0000
0.9984 0.2500 0.5000
```

Peak list (8 most intense, 5° ≤ 2θ ≤ 70°, by angle)
- 29.39°, I 65
- 30.85°, I 32
- 31.59°, I 88
- 33.20°, I 49
- 34.86°, I 100
- 35.07°, I 31
- 41.70°, I 79
- 68.88°, I 30

=====

Diffraction record for HoNi5Au. The powder XRD pattern is computed, not measured: it uses a crystal structure in Alexandria, relaxed with GGA-PBE and copper Kα.

Crystal structure
```
HoNi5Au
1.0
7.9607 0.0000 0.0000
0.0000 4.8412 0.0000
0.0000 0.0000 10.1840
Ho Ni Au
4 20 4
Direct
0.2431 0.2500 0.0604
0.2569 0.7500 0.5604
0.7431 0.2500 0.4396
0.7569 0.7500 0.9396
0.0529 0.7500 0.1083
0.0678 0.0011 0.3151
0.0678 0.4989 0.3151
0.0910 0.2500 0.5187
0.1868 0.2500 0.7445
0.3132 0.7500 0.2445
0.4090 0.7500 0.0187
0.4322 0.5011 0.8151
0.4322 0.9989 0.8151
0.4471 0.2500 0.6083
0.5529 0.7500 0.3917
0.5678 0.0011 0.1849
0.5678 0.4989 0.1849
0.5910 0.2500 0.9813
0.6868 0.2500 0.7555
0.8132 0.7500 0.2555
0.9090 0.7500 0.4813
0.9322 0.5011 0.6849
0.9322 0.9989 0.6849
0.9471 0.2500 0.8917
0.1355 0.7500 0.8622
0.3645 0.2500 0.3622
0.6355 0.7500 0.6378
0.8645 0.2500 0.1378
```

Peak list (8 most intense, 5° ≤ 2θ ≤ 70°, by angle)
- 32.21°, I 45
- 34.17°, I 45
- 37.11°, I 96
- 39.55°, I 65
- 39.73°, I 100
- 44.71°, I 46
- 46.30°, I 63
- 47.53°, I 49

=====

Diffraction record for Y2ZnHRh6. The powder XRD pattern is computed, not measured: it uses a crystal structure in Alexandria, relaxed with GGA-PBE and copper Kα.

Crystal structure
```
Y2ZnHRh6
1.0
-3.0380 3.0598 4.3138
3.0380 -3.0598 4.3138
3.0380 3.0598 -4.3138
Y Zn H Rh
2 1 1 6
Direct
0.2489 0.2489 0.0000
0.7511 0.7511 0.0000
0.0000 0.5000 0.5000
0.5000 0.0000 0.5000
0.2763 0.7763 0.5000
0.2774 0.2246 0.5020
0.2774 0.7754 0.0528
0.7226 0.2246 0.9472
0.7226 0.7754 0.4980
0.7237 0.2237 0.5000
```

Peak list (8 most intense, 5° ≤ 2θ ≤ 70°, by angle)
- 20.60°, I 12
- 35.99°, I 72
- 36.16°, I 72
- 41.90°, I 100
- 45.77°, I 13
- 60.52°, I 10
- 60.74°, I 39
- 61.00°, I 10

=====

Diffraction record for Mg2GeH. The powder XRD pattern is computed, not measured: it uses a crystal structure in Alexandria, relaxed with GGA-PBE and copper Kα.

Crystal structure
```
Mg2GeH
1.0
6.4500 0.0000 0.0000
0.0000 6.4721 0.0000
0.0000 0.0000 6.4145
Mg Ge H
8 4 4
Direct
0.2500 0.1940 0.0000
0.2500 0.3060 0.5000
0.2500 0.7171 0.0918
0.2500 0.7829 0.5918
0.7500 0.2171 0.5918
0.7500 0.2829 0.0918
0.7500 0.6940 0.5000
0.7500 0.8060 0.0000
0.0000 0.0000 0.3125
0.0000 0.5000 0.8125
0.5000 0.0000 0.3125
0.5000 0.5000 0.8125
0.2500 0.5442 0.3361
0.2500 0.9558 0.8361
0.7500 0.0442 0.8361
0.7500 0.4558 0.3361
```

Peak list (8 most intense, 5° ≤ 2θ ≤ 70°, by angle)
- 19.48°, I 100
- 34.05°, I 74
- 39.45°, I 47
- 39.60°, I 88
- 44.30°, I 18
- 44.63°, I 17
- 53.04°, I 15
- 68.26°, I 14

=====

Diffraction record for K2PuBr4. The powder XRD pattern is computed, not measured: it uses a crystal structure in Alexandria, relaxed with GGA-PBE and copper Kα.

Crystal structure
```
K2PuBr4
1.0
8.1093 0.0000 0.0000
0.0000 4.3616 0.0000
-3.3886 0.0000 7.9334
K Pu Br
2 1 4
Direct
0.0649 0.0000 0.3160
0.9351 0.0000 0.6840
0.5000 0.5000 0.0000
0.2417 0.5000 0.6389
0.2774 0.0000 0.0637
0.7226 0.0000 0.9363
0.7583 0.5000 0.3611
```

Peak list (8 most intense, 5° ≤ 2θ ≤ 70°, by angle)
- 11.15°, I 72
- 12.70°, I 100
- 24.07°, I 70
- 29.36°, I 44
- 30.15°, I 55
- 32.90°, I 51
- 36.72°, I 44
- 37.48°, I 36

=====

Diffraction record for Ho7TlIn5. The powder XRD pattern is computed, not measured: it uses a crystal structure in Alexandria, relaxed with GGA-PBE and copper Kα.

Crystal structure
```
Ho7TlIn5
1.0
-3.2715 5.2402 5.3775
3.2715 -5.2402 5.3775
3.2715 5.2402 -5.3775
Ho Tl In
7 1 5
Direct
0.0000 0.0000 0.0000
0.3020 0.6266 0.6754
0.3431 0.3431 0.0000
0.4363 0.1161 0.3202
0.7959 0.1161 0.6798
0.8599 0.3599 0.5000
0.9512 0.6266 0.3246
0.6540 0.6540 0.0000
0.1158 0.1145 0.4830
0.1158 0.6327 0.0013
0.3723 0.8723 0.5000
0.6315 0.1145 0.9987
0.6315 0.6327 0.5170
```

Peak list (8 most intense, 5° ≤ 2θ ≤ 70°, by angle)
- 27.26°, I 43
- 28.97°, I 58
- 32.02°, I 45
- 32.26°, I 43
- 33.29°, I 92
- 33.52°, I 94
- 36.43°, I 100
- 38.21°, I 41

=====

Diffraction record for In6GaHg10. The powder XRD pattern is computed, not measured: it uses a crystal structure in Alexandria, relaxed with GGA-PBE and copper Kα.

Crystal structure
```
In6GaHg10
1.0
6.2201 0.0000 0.0000
-1.1969 8.8025 0.0000
-3.0799 -4.0193 8.3257
In Ga Hg
6 1 10
Direct
0.1214 0.4100 0.3512
0.2459 0.3542 0.9851
0.2756 0.9817 0.6691
0.7244 0.0183 0.3309
0.7541 0.6458 0.0149
0.8786 0.5900 0.6488
0.5000 0.0000 0.0000
0.0970 0.0224 0.1840
0.1616 0.2964 0.6332
0.2478 0.6999 0.0000
0.3563 0.7642 0.3658
0.4397 0.6709 0.7059
0.5603 0.3291 0.2941
0.6437 0.2358 0.6342
0.7522 0.3001 0.0000
0.8384 0.7036 0.3668
0.9030 0.9776 0.8160
```

Peak list (8 most intense, 5° ≤ 2θ ≤ 70°, by angle)
- 28.18°, I 47
- 29.10°, I 71
- 30.38°, I 54
- 32.27°, I 100
- 32.75°, I 78
- 33.93°, I 77
- 34.16°, I 88
- 35.18°, I 75

=====

Diffraction record for Pr8HoIn6. The powder XRD pattern is computed, not measured: it uses a crystal structure in Alexandria, relaxed with GGA-PBE and copper Kα.

Crystal structure
```
Pr8HoIn6
1.0
4.6391 2.6784 6.6902
-4.6391 2.6784 6.6902
0.0000 -5.3567 6.6902
Pr Ho In
8 1 6
Direct
0.0482 0.7194 0.3847
0.1653 0.1653 0.1653
0.2806 0.6153 0.9518
0.3847 0.0482 0.7194
0.6153 0.9518 0.2806
0.7194 0.3847 0.0482
0.8347 0.8347 0.8347
0.9518 0.2806 0.6153
0.5000 0.5000 0.5000
0.1212 0.4474 0.7715
0.2285 0.8788 0.5526
0.4474 0.7715 0.1212
0.5526 0.2285 0.8788
0.7715 0.1212 0.4474
0.8788 0.5526 0.2285
```

Peak list (8 most intense, 5° ≤ 2θ ≤ 70°, by angle)
- 23.33°, I 30
- 33.01°, I 100
- 33.46°, I 92
- 47.71°, I 35
- 58.68°, I 17
- 59.53°, I 36
- 59.81°, I 17
- 69.26°, I 10